# 1
Ce3Ge6Pd20: computed powder X-ray diffraction pattern (copper Kα), based on a PBE-relaxed structure.
Kinematic intensities with the Lorentz-polarization factor, no thermal factor.

Peak list (6 most intense, 2θ = 5–70°, most intense first)
hkl 3 3 3, 2.417 Å, I = 100; hkl 4 4 0, 2.220 Å, I = 49; hkl 5 3 1, 2.123 Å, I = 29; hkl 6 6 0, 1.480 Å, I = 24; hkl 6 2 2, 1.893 Å, I = 23; hkl 4 2 2, 2.563 Å, I = 23

a b c (Å): 12.558 12.558 12.558
angles (deg): 90.00 90.00 90.00
Space group Fm-3m (No. 225)
One atom of each set of equivalent atoms:
Ce  0.000  0.000  0.000 (multiplicity 4)
Ce  0.250  0.250  0.250 (multiplicity 8)
Ge  0.000  0.000  0.269 (multiplicity 24)
Pd  0.000  0.174  0.174 (multiplicity 48)
Pd  0.118  0.118  0.382 (multiplicity 32)

# 2
SmPdPb: computed powder X-ray diffraction pattern (copper Kα), based on a PBE-relaxed structure.
Kinematic intensities with the Lorentz-polarization factor, no thermal factor.

Peak list (6 most intense, 2θ = 5–70°, most intense first)
hkl 1 3 1, 2.801 Å, I = 100; hkl 0 6 0, 2.376 Å, I = 68; hkl 2 6 0, 1.489 Å, I = 32; hkl 1 6 2, 1.812 Å, I = 28; hkl 1 9 1, 1.441 Å, I = 27; hkl 0 9 3, 1.372 Å, I = 12

a b c (Å): 3.823 14.265 8.226
angles (deg): 90.00 90.00 90.00
Space group Amm2 (No. 38)
One atom of each set of equivalent atoms:
Sm  0.000  0.000  0.000 (multiplicity 2)
Sm  0.000  0.166  0.498 (multiplicity 4)
Pd  0.500  0.000  0.332 (multiplicity 2)
Pd  0.500  0.167  0.832 (multiplicity 4)
Pb  0.500  0.000  0.665 (multiplicity 2)
Pb  0.500  0.167  0.165 (multiplicity 4)

# 3
Cr2Fe3N4: computed powder X-ray diffraction pattern (copper Kα), based on a PBE-relaxed structure.
Kinematic intensities with the Lorentz-polarization factor, no thermal factor.

Peak list (6 most intense, 2θ = 5–70°, most intense first)
hkl 2 2 1, 2.454 Å, I = 100; hkl 1 1 -2, 2.443 Å, I = 62; hkl 3 1 -1, 2.397 Å, I = 46; hkl 4 0 2, 1.663 Å, I = 44; hkl 3 3 -1, 1.753 Å, I = 30; hkl 0 4 0, 1.818 Å, I = 28

a b c (Å): 8.548 7.273 5.414
angles (deg): 90.00 91.00 90.00
Space group C2/c (No. 15)
One atom of each set of equivalent atoms:
Cr  0.177  0.128  0.350 (multiplicity 8)
Fe  0.000  0.158  0.750 (multiplicity 4)
Fe  0.119  0.401  0.002 (multiplicity 8)
N  0.107  0.330  0.534 (multiplicity 8)
N  0.150  0.102  0.007 (multiplicity 8)

# 4
Er7Rh3: computed powder X-ray diffraction pattern (copper Kα), based on a PBE-relaxed structure.
Kinematic intensities with the Lorentz-polarization factor, no thermal factor.

Peak list (6 most intense, 2θ = 5–70°, most intense first)
hkl 2 1 1, 2.824 Å, I = 100; hkl 3 0 1, 2.552 Å, I = 55; hkl 1 0 2, 2.873 Å, I = 45; hkl 2 0 2, 2.474 Å, I = 42; hkl 2 2 0, 2.432 Å, I = 33; hkl 3 0 3, 1.649 Å, I = 24

a b c (Å): 9.7295 9.7295 6.1131
angles (deg): 90.00 90.00 120.00
Space group P6_3mc (No. 186)
One atom of each set of equivalent atoms:
Er  0.0831  0.5415  0.0000 (multiplicity 6)
Er  0.1238  0.2477  0.6979 (multiplicity 6)
Er  0.3333  0.6667  0.4883 (multiplicity 2)
Rh  0.1896  0.3792  0.2642 (multiplicity 6)

# 5
SnSe: computed powder X-ray diffraction pattern (copper Kα), based on a PBE-relaxed structure.
Kinematic intensities with the Lorentz-polarization factor, no thermal factor.

Peak list (6 most intense, 2θ = 5–70°, most intense first)
hkl 1 3 0, 2.730 Å, I = 100; hkl 1 3 2, 2.038 Å, I = 87; hkl 0 0 2, 3.063 Å, I = 69; hkl 0 2 0, 5.599 Å, I = 66; hkl 1 1 0, 3.768 Å, I = 61; hkl 1 1 2, 2.377 Å, I = 36

a b c (Å): 4.002 11.198 6.125
angles (deg): 90.00 90.00 90.00
Space group Cmcm (No. 63)
One atom of each set of equivalent atoms:
Sn  0.000  0.161  0.250 (multiplicity 4)
Se  0.000  0.169  0.750 (multiplicity 4)

# 6
EuAl2S4: computed powder X-ray diffraction pattern (copper Kα), based on a PBE-relaxed structure.
Kinematic intensities with the Lorentz-polarization factor, no thermal factor.

Peak list (6 most intense, 2θ = 5–70°, most intense first)
hkl 1 1 0, 5.172 Å, I = 100; hkl 1 1 2, 3.686 Å, I = 84; hkl 2 2 2, 2.320 Å, I = 77; hkl 0 4 0, 2.607 Å, I = 52; hkl 0 2 4, 2.344 Å, I = 43; hkl 0 2 2, 3.701 Å, I = 38

a b c (Å): 5.956 10.430 10.508
angles (deg): 90.00 90.00 90.00
Space group Cccm (No. 66)
One atom of each set of equivalent atoms:
Eu  0.000  0.000  0.250 (multiplicity 4)
Al  0.001  0.261  0.000 (multiplicity 8)
S  0.233  0.086  0.500 (multiplicity 8)
S  0.250  0.250  0.164 (multiplicity 8)

# 7
KBaPrBiO6: computed powder X-ray diffraction pattern (copper Kα), based on a PBE-relaxed structure.
Kinematic intensities with the Lorentz-polarization factor, no thermal factor.

Peak list (6 most intense, 2θ = 5–70°, most intense first)
hkl 2 2 0, 3.158 Å, I = 100; hkl 4 2 2, 1.823 Å, I = 42; hkl 4 0 0, 2.233 Å, I = 31; hkl 2 0 0, 4.467 Å, I = 22; hkl 4 4 0, 1.579 Å, I = 20; hkl 6 2 0, 1.412 Å, I = 19

a b c (Å): 8.933 8.933 8.933
angles (deg): 90.00 90.00 90.00
Space group F-43m (No. 216)
One atom of each set of equivalent atoms:
K  0.000  0.000  0.000 (multiplicity 4)
Ba  0.000  0.000  0.500 (multiplicity 4)
Pr  0.250  0.250  0.750 (multiplicity 4)
Bi  0.250  0.250  0.250 (multiplicity 4)
O  0.012  0.250  0.250 (multiplicity 24)

# 8
K2LiBiI6: computed powder X-ray diffraction pattern (copper Kα), based on a PBE-relaxed structure.
Kinematic intensities with the Lorentz-polarization factor, no thermal factor.

Peak list (6 most intense, 2θ = 5–70°, most intense first)
hkl 4 0 0, 3.017 Å, I = 100; hkl 4 4 0, 2.133 Å, I = 74; hkl 2 2 2, 3.484 Å, I = 70; hkl 2 0 0, 6.034 Å, I = 68; hkl 4 2 0, 2.699 Å, I = 39; hkl 8 4 0, 1.349 Å, I = 33

a b c (Å): 12.069 12.069 12.069
angles (deg): 90.00 90.00 90.00
Space group Fm-3m (No. 225)
One atom of each set of equivalent atoms:
K  0.250  0.250  0.250 (multiplicity 8)
Li  0.000  0.000  0.000 (multiplicity 4)
Bi  0.000  0.000  0.500 (multiplicity 4)
I  0.000  0.000  0.245 (multiplicity 24)

# 9
CsNp3: computed powder X-ray diffraction pattern (copper Kα), based on a PBE-relaxed structure.
Kinematic intensities with the Lorentz-polarization factor, no thermal factor.

Peak list (6 most intense, 2θ = 5–70°, most intense first)
hkl 1 1 1, 2.697 Å, I = 100; hkl 2 0 0, 2.336 Å, I = 50; hkl 3 1 1, 1.409 Å, I = 42; hkl 2 2 0, 1.652 Å, I = 36; hkl 2 2 2, 1.349 Å, I = 12; hkl 1 0 0, 4.672 Å, I = 4

a b c (Å): 4.672 4.672 4.672
angles (deg): 90.00 90.00 90.00
Space group Pm-3m (No. 221)
One atom of each set of equivalent atoms:
Cs  0.000  0.000  0.000 (multiplicity 1)
Np  0.000  0.500  0.500 (multiplicity 3)

# 10
Sr4Ca2TlCu4PbO14: computed powder X-ray diffraction pattern (copper Kα), based on a PBE-relaxed structure.
Kinematic intensities with the Lorentz-polarization factor, no thermal factor.

Peak list (6 most intense, 2θ = 5–70°, most intense first)
hkl 1 1 6, 2.782 Å, I = 100; hkl 2 0 0, 2.687 Å, I = 74; hkl 1 1 4, 3.230 Å, I = 51; hkl 2 2 0, 1.900 Å, I = 39; hkl 3 1 6, 1.569 Å, I = 36; hkl 0 0 2, 12.253 Å, I = 31

a b c (Å): 5.375 5.375 24.506
angles (deg): 90.00 90.00 90.00
Space group I4/mmm (No. 139)
One atom of each set of equivalent atoms:
Sr  0.000  0.500  0.108 (multiplicity 8)
Ca  0.000  0.500  0.250 (multiplicity 4)
Tl  0.000  0.000  0.000 (multiplicity 2)
Cu  0.000  0.000  0.180 (multiplicity 4)
Cu  0.000  0.000  0.322 (multiplicity 4)
Pb  0.000  0.000  0.500 (multiplicity 2)
O  0.000  0.000  0.085 (multiplicity 4)
O  0.000  0.000  0.413 (multiplicity 4)
O  0.000  0.500  0.000 (multiplicity 4)
O  0.250  0.250  0.185 (multiplicity 16)